1.
For V3W5, a PBE-relaxed structure gives the simulated powder diffractogram in this record (a wavelength of 1.5418 Å).
Kinematic intensities with the Lorentz-polarization factor, no thermal factor.

Structure:
Unit cell a=6.2219 b=6.2219 c=6.2219 alpha=90.00 beta=90.00 gamma=90.00
Space group Im-3m (No. 229)
Symmetry-distinct sites (fractional):
V 0.0000 0.0000 0.5000
W 0.0000 0.0000 0.0000
W 0.2500 0.2500 0.2500

Most intense lines, 2θ from 10° to 90°, low angle first:
| Position (°2θ) | intensity | index |
| --- | --- | --- |
| 20.18 | 9 | 1 1 0 |
| 28.70 | 18 | 2 0 0 |
| 41.03 | 100 | 2 2 0 |
| 50.84 | 5 | 2 2 2 |
| 59.42 | 17 | 4 0 0 |
| 67.30 | 7 | 4 2 0 |
| 74.75 | 34 | 4 2 2 |
| 89.00 | 11 | 4 4 0 |

2.
For LiAc3La3, a PBE-relaxed structure gives the simulated powder diffractogram in this record (a wavelength of 1.5418 Å).
Kinematic intensities with the Lorentz-polarization factor, no thermal factor.

Structure:
Unit cell a=13.9988 b=13.9988 c=9.6194 alpha=90.00 beta=90.00 gamma=120.00
Space group R3c (No. 161, hexagonal axes)
Symmetry-distinct sites (fractional):
Li 0.0000 0.0000 0.0000
Ac 0.0029 0.1601 0.2504
La 0.0763 0.3360 0.5819

Most intense lines, 2θ from 10° to 90°, low angle first:
| Position (°2θ) | intensity | index |
| --- | --- | --- |
| 19.86 | 31 | 0 1 2 |
| 28.11 | 100 | 1 3 1 |
| 30.67 | 33 | 1 1 3 |
| 32.49 | 27 | 3 1 2 |
| 33.54 | 23 | 3 2 1 |
| 38.09 | 23 | 2 2 3 |
| 41.72 | 20 | 5 0 2 |
| 60.25 | 20 | 4 4 3 |

3.
For DyIn5Rh, a PBE-relaxed structure gives the simulated powder diffractogram in this record (a wavelength of 1.5418 Å).
Kinematic intensities with the Lorentz-polarization factor, no thermal factor.

Structure:
Unit cell a=4.6649 b=4.6649 c=7.4762 alpha=90.00 beta=90.00 gamma=90.00
Space group P4/mmm (No. 123)
Symmetry-distinct sites (fractional):
Dy 0.0000 0.0000 0.0000
In 0.0000 0.5000 0.2999
In 0.5000 0.5000 0.0000
Rh 0.0000 0.0000 0.5000

Most intense lines, 2θ from 10° to 90°, low angle first:
| Position (°2θ) | intensity | index |
| --- | --- | --- |
| 29.60 | 30 | 1 1 1 |
| 36.04 | 13 | 0 0 3 |
| 36.32 | 100 | 1 1 2 |
| 38.60 | 53 | 2 0 0 |
| 53.83 | 16 | 2 0 3 |
| 55.73 | 18 | 2 2 0 |
| 68.36 | 30 | 3 1 2 |
| 68.95 | 10 | 1 1 5 |